Calculated powder X-ray diffraction pattern
Compound: TbSi3TcOs
Radiation: Cu Kα, 1.54184 Å
Structure: a cell relaxed with GGA-PBE

Structure:
Cell: 7.722 10.980 5.491 Å, 90.00 90.00 90.00°
Space group Cmcm (No. 63)
Inequivalent atoms, fractional coordinates:
Tb1 0.000 0.242 0.250 (multiplicity 4)
Si1 0.000 0.248 0.750 (multiplicity 4)
Si2 0.249 0.500 0.000 (multiplicity 8)
Tc1 0.000 0.449 0.750 (multiplicity 4)
Os1 0.000 0.045 0.750 (multiplicity 4)

Peak list (12 most intense, 10 to 90 degrees two-theta, sorted by position)
(hkl)	2theta	I_rel
1 1 0	14.02	21
0 2 0	16.15	13
2 0 0	23.03	78
1 3 1	31.58	100
0 0 2	32.62	56
2 0 2	40.31	70
3 3 1	46.18	35
4 0 0	47.07	19
2 4 2	52.79	23
1 3 3	57.56	18
4 0 2	58.44	21
1 7 1	62.77	16

***

Calculated powder X-ray diffraction pattern
Compound: SmH4Pd2Pt
Radiation: Cu Kα, 1.54184 Å
Structure: a cell relaxed with GGA-PBE

Structure:
Cell: 4.854 4.856 4.932 Å, 116.28 116.45 95.57°
Space group P1 (No. 1)
Inequivalent atoms, fractional coordinates:
Sm1 0.000 0.000 0.000 (multiplicity 1)
H1 0.086 0.488 0.975 (multiplicity 1)
H2 0.503 0.488 0.604 (multiplicity 1)
H3 0.513 0.112 0.023 (multiplicity 1)
H4 0.883 0.899 0.396 (multiplicity 1)
Pd1 0.249 0.749 0.500 (multiplicity 1)
Pd2 0.499 0.499 0.000 (multiplicity 1)
Pt1 0.752 0.252 0.500 (multiplicity 1)

Peak list (12 most intense, 10 to 90 degrees two-theta, sorted by position)
(hkl)	2theta	I_rel
0 1 -1	21.97	17
1 -1 1	34.78	100
1 1 0	36.72	88
2 0 -1	37.21	84
0 0 2	49.24	19
2 -2 0	50.78	18
2 2 -2	56.41	13
0 2 1	63.24	18
2 0 1	63.36	18
1 -3 0	64.23	17
3 -1 0	64.35	17
3 1 -1	68.02	21